Simulated powder XRD pattern
Compound: CsScCl3
Radiation: Cu Kα (weighted mean of Kα1 and Kα2)
Structure: a structure optimized by DFT (GGA-PBE)
No peak broadening, texture or thermal motion is included.

Structure:
Cell: 7.644 7.644 6.003 Å, 90.00 90.00 120.00°
Fractional coordinates of all 10 atoms:
1 Cs 0.333 0.667 0.250
2 Cs 0.667 0.333 0.750
3 Sc 0.000 0.000 0.000
4 Sc 0.000 0.000 0.500
5 Cl 0.160 0.321 0.750
6 Cl 0.160 0.840 0.750
7 Cl 0.321 0.160 0.250
8 Cl 0.679 0.840 0.750
9 Cl 0.840 0.160 0.250
10 Cl 0.840 0.679 0.250

Main lines, sorted by position (2θ = 10–90°):
h k l, 2theta, d [Å], I_rel
1 0 1, 19.97, 4.447, 47
1 1 0, 23.27, 3.822, 46
0 0 2, 29.77, 3.002, 16
2 0 1, 30.85, 2.898, 100
1 0 2, 32.76, 2.734, 15
2 1 1, 39.00, 2.309, 14
2 0 2, 40.57, 2.223, 28
2 1 2, 47.30, 1.922, 14
2 2 0, 47.59, 1.911, 25
2 0 3, 53.51, 1.712, 19
2 2 2, 57.14, 1.612, 13
4 0 1, 57.79, 1.595, 15

---

Simulated powder XRD pattern
Compound: Te4MoW3Se2S2
Radiation: Cu Kα (weighted mean of Kα1 and Kα2)
Structure: a structure optimized by DFT (GGA-PBE)
No peak broadening, texture or thermal motion is included.

Structure:
Cell: 3.400 3.400 38.827 Å, 90.00 90.00 120.00°
Fractional coordinates of all 12 atoms:
1 Te 0.000 0.000 0.000
2 Te 0.000 0.000 0.097
3 Te 0.333 0.667 0.812
4 Te 0.333 0.667 0.909
5 Mo 0.333 0.667 0.673
6 W 0.000 0.000 0.485
7 W 0.000 0.000 0.860
8 W 0.333 0.667 0.048
9 Se 0.333 0.667 0.442
10 Se 0.333 0.667 0.527
11 S 0.000 0.000 0.634
12 S 0.000 0.000 0.711

Main lines, sorted by position (2θ = 10–90°):
h k l, 2theta, d [Å], I_rel
0 0 5, 11.40, 7.765, 100
0 0 6, 13.68, 6.471, 16
1 0 0, 30.37, 2.943, 40
1 0 5, 32.52, 2.753, 14
1 0 8, 35.66, 2.517, 89
0 0 16, 36.99, 2.430, 15
0 1 10, 38.37, 2.346, 15
0 1 13, 43.14, 2.097, 48
1 0 14, 44.90, 2.019, 14
1 1 0, 53.94, 1.700, 30
0 2 8, 66.35, 1.409, 14
1 1 21, 76.05, 1.251, 14